[1]
# Mg3SiO4F2
Computed powder diffraction line list, λ = 1.5418 Å (Cu Kα). Input: a cell relaxed with GGA-PBE.
Kinematic intensities with the Lorentz-polarization factor, no thermal factor.

Crystal structure
Cell: 10.3878 8.8363 4.7607 Å, 90.00 90.00 90.00°
Space group Pnma (No. 62)
Asymmetric unit:
Mg  0.0928  0.2500  0.0059 [4 per cell]
Mg  0.1333  0.5697  0.5104 [8 per cell]
Si  0.2198  0.7500  0.0804 [4 per cell]
O  0.0744  0.7500  0.2220 [4 per cell]
O  0.2087  0.1035  0.7322 [8 per cell]
O  0.2212  0.7500  0.7380 [4 per cell]
F  0.0329  0.0847  0.2738 [8 per cell]

Most intense lines, 15° ≤ 2θ ≤ 90°, sorted by position:
2θ (°)  I (rel.)
28.88  100
33.57  69
36.91  32
38.05  28
39.53  39
39.96  71
52.12  32
52.47  74
62.20  43
63.13  27

=====

[2]
# MgSiO6F6
Computed powder diffraction line list, λ = 1.5418 Å (Cu Kα). Input: a cell relaxed with GGA-PBE.
Kinematic intensities with the Lorentz-polarization factor, no thermal factor.

Crystal structure
Cell: 5.7055 13.1918 7.4363 Å, 90.00 130.35 90.00°
Space group P2_1/c (No. 14)
Asymmetric unit:
Mg  0.0000  0.0000  0.0000 [2 per cell]
Si  0.5000  0.0000  0.5000 [2 per cell]
O  0.0284  0.2401  0.4804 [4 per cell]
O  0.2057  0.2066  0.6826 [4 per cell]
O  0.3912  0.0281  0.9634 [4 per cell]
F  0.2026  0.0830  0.2849 [4 per cell]
F  0.2796  0.5454  0.0514 [4 per cell]
F  0.3301  0.5855  0.7622 [4 per cell]

Most intense lines, 15° ≤ 2θ ≤ 90°, sorted by position:
2θ (°)  I (rel.)
17.10  100
24.52  50
25.69  22
27.04  32
27.54  31
31.75  39
37.92  27
42.04  37
43.24  16
48.16  16